No. 1
# CsZnGePSe
Simulated PXRD pattern, Cu Kα. Input: a crystal structure in Alexandria, relaxed with GGA-PBE.
Intensities are scaled so that the largest is 100.

Crystal structure
```
data_CsZnGePSe
_space_group_name_H-M_alt 'P 3 m 1'
_space_group_IT_number 156
_cell_length_a 4.5483
_cell_length_b 4.5483
_cell_length_c 8.0448
_cell_angle_alpha 90.00
_cell_angle_beta 90.00
_cell_angle_gamma 120.00
loop_
_space_group_symop_operation_xyz
'x,y,z'
'-y,x-y,z'
'-x+y,-x,z'
'-y,-x,z'
'-x+y,y,z'
'x,x-y,z'
loop_
_atom_site_label
_atom_site_type_symbol
_atom_site_fract_x
_atom_site_fract_y
_atom_site_fract_z
_atom_site_occupancy
Cs1 Cs 0.0000 0.0000 0.0000 1
Zn1 Zn 0.6667 0.3333 0.6452 1
Ge1 Ge 0.3333 0.6667 0.3890 1
P1 P 0.3333 0.6667 0.6901 1
Se1 Se 0.6667 0.3333 0.3224 1
```

Main lines, in order of falling intensity (2θ from 5° to 70°):
d/Å	Rel. int.	(hkl)
3.538	100	0 1 1
2.274	53	1 1 0
2.814	44	1 0 2
1.734	35	1 1 3
2.682	22	0 0 3
1.913	17	2 0 1
1.791	17	1 0 4
1.464	14	1 2 1
2.217	11	0 1 3
1.769	11	0 2 2

=====

No. 2
# La3Zn2Pd7
Simulated PXRD pattern, Cu Kα. Input: a crystal structure in Alexandria, relaxed with GGA-PBE.
Intensities are scaled so that the largest is 100.

Crystal structure
```
data_La3Zn2Pd7
_space_group_name_H-M_alt 'C m m m'
_space_group_IT_number 65
_space_group_name_Hall '-C 2 2'
_cell_length_a 4.258
_cell_length_b 29.581
_cell_length_c 4.118
_cell_angle_alpha 90.00
_cell_angle_beta 90.00
_cell_angle_gamma 90.00
loop_
_atom_site_label
_atom_site_type_symbol
_atom_site_fract_x
_atom_site_fract_y
_atom_site_fract_z
_atom_site_occupancy
La1 La 0.000 0.000 0.000 1
La2 La 0.000 0.200 0.000 1
Zn1 Zn 0.000 0.417 0.500 1
Pd1 Pd 0.000 0.131 0.500 1
Pd2 Pd 0.000 0.291 0.500 1
Pd3 Pd 0.000 0.367 0.000 1
Pd4 Pd 0.000 0.500 0.500 1
```

Main lines, in order of falling intensity (2θ from 5° to 70°):
d/Å	Rel. int.	(hkl)
2.647	100	1 5 1
2.424	54	1 7 1
1.990	39	1 11 1
2.129	33	2 0 0
14.791	32	0 2 0
2.059	30	0 0 2
1.480	20	2 0 2
2.958	16	0 10 0
4.930	15	0 6 0
2.113	14	0 14 0

=====

No. 3
# Pr2Zn2BiRh5
Simulated PXRD pattern, Cu Kα. Input: a crystal structure in Alexandria, relaxed with GGA-PBE.
Intensities are scaled so that the largest is 100.

Crystal structure
```
data_Pr2Zn2BiRh5
_space_group_name_H-M_alt 'P 4/m b m'
_space_group_IT_number 127
_space_group_name_Hall '-P 4 2ab'
_cell_length_a 9.891
_cell_length_b 9.891
_cell_length_c 3.769
_cell_angle_alpha 90.00
_cell_angle_beta 90.00
_cell_angle_gamma 90.00
loop_
_atom_site_label
_atom_site_type_symbol
_atom_site_fract_x
_atom_site_fract_y
_atom_site_fract_z
_atom_site_occupancy
Pr1 Pr 0.176 0.324 0.000 1
Zn1 Zn 0.120 0.620 0.000 1
Bi1 Bi 0.000 0.000 0.000 1
Rh1 Rh 0.000 0.500 0.500 1
Rh2 Rh 0.068 0.787 0.500 1
```

Main lines, in order of falling intensity (2θ from 5° to 70°):
d/Å	Rel. int.	(hkl)
2.407	100	3 1 1
2.399	36	4 1 0
2.563	32	2 2 1
2.218	27	3 2 1
2.212	22	4 2 0
1.884	21	0 0 2
2.869	21	2 1 1
1.482	16	4 1 2
1.434	11	4 2 2
1.510	10	6 0 1